This entry pairs a crystal structure of CoAg3H6C6N8 with its simulated powder X-ray diffraction pattern. Radiation: Cu Kα, 1.54184 Å. Structure: a PBE-relaxed structure.

The 8 most intense peaks (2θ = 10–90°), by angle:
12.9 deg, I 321
16.1 deg, I 386
18.6 deg, I 665
20.4 deg, I 291
21.8 deg, I 627
23.6 deg, I 1000
29.0 deg, I 340
31.5 deg, I 282

Crystal structure
```
CoAg3H6C6N8
1.0
3.7878 -6.6788 0.0000
3.7878 6.6788 0.0000
-2.6892 0.0000 13.6996
Co Ag H C N
2 6 12 12 16
Direct
0.0000 0.5000 0.0000
0.5000 0.0000 0.5000
0.0845 0.9155 0.7500
0.2323 0.4052 0.6801
0.4052 0.2323 0.1801
0.5948 0.7677 0.8199
0.7677 0.5948 0.3199
0.9155 0.0845 0.2500
0.0582 0.2780 0.4379
0.1782 0.4440 0.3658
0.2481 0.2794 0.3886
0.2780 0.0582 0.9379
0.2794 0.2481 0.8886
0.4440 0.1782 0.8658
0.5560 0.8218 0.1342
0.7206 0.7519 0.1114
0.7220 0.9418 0.0621
0.7519 0.7206 0.6114
0.8218 0.5560 0.6342
0.9418 0.7220 0.5621
0.1323 0.5043 0.8955
0.1612 0.4290 0.0737
0.1932 0.7758 0.0475
0.2242 0.8068 0.4525
0.4290 0.1612 0.5737
0.4957 0.8677 0.6045
0.5043 0.1323 0.3955
0.5710 0.8388 0.4263
0.7758 0.1932 0.5475
0.8068 0.2242 0.9525
0.8388 0.5710 0.9263
0.8677 0.4957 0.1045
0.0503 0.6851 0.4212
0.1236 0.2953 0.3759
0.2130 0.5010 0.8287
0.2641 0.3855 0.1201
0.2953 0.1236 0.8759
0.3149 0.9497 0.0788
0.3855 0.2641 0.6201
0.4990 0.7870 0.6713
0.5010 0.2130 0.3287
0.6145 0.7359 0.3799
0.6851 0.0503 0.9212
0.7047 0.8764 0.1241
0.7359 0.6145 0.8799
0.7870 0.4990 0.1713
0.8764 0.7047 0.6241
0.9497 0.3149 0.5788
```